1.
# MgMnNbO4
Calculated PXRD pattern, Cu Kα (weighted mean of Kα1 and Kα2). Input: a crystal structure in the Materials Project, relaxed with GGA+U.

Structure:
```
data_MgMnNbO4
_chemical_formula_sum 'Mg2 Mn2 Nb2 O8'
_symmetry_space_group_name_H-M 'I m m 2'
_symmetry_Int_Tables_number 44
_symmetry_space_group_name_Hall 'I 2 -2'
_cell_length_a 4.171
_cell_length_b 4.175
_cell_length_c 9.489
_cell_angle_alpha 90.00
_cell_angle_beta 90.00
_cell_angle_gamma 90.00
loop_
_atom_site_label
_atom_site_type_symbol
_atom_site_fract_x
_atom_site_fract_y
_atom_site_fract_z
Mg1 Mg 0.000 0.000 0.000
Mn1 Mn 0.000 0.000 0.501
Nb1 Nb 0.000 0.500 0.750
O1 O 0.000 0.000 0.238
O2 O 0.000 0.000 0.763
O3 O 0.000 0.500 0.526
O4 O 0.000 0.500 0.975
```

Peak list (6 most intense, 5° ≤ 2θ ≤ 70°, in order of rising 2θ)
23.3 deg, I = 100, (1 0 1); 35.8 deg, I = 37, (1 1 2); 37.9 deg, I = 34, (0 0 4); 43.4 deg, I = 48, (2 0 0); 49.8 deg, I = 24, (1 2 1); 59.0 deg, I = 33, (2 0 4)

2.
# MgMnNbO4
Calculated PXRD pattern, Cu Kα (weighted mean of Kα1 and Kα2). Input: a crystal structure in the Materials Project, relaxed with GGA+U.

Structure:
```
data_MgMnNbO4
_chemical_formula_sum 'Mg2 Mn2 Nb2 O8'
_symmetry_space_group_name_H-M 'I m m 2'
_symmetry_Int_Tables_number 44
_symmetry_space_group_name_Hall 'I 2 -2'
_cell_length_a 4.131
_cell_length_b 4.372
_cell_length_c 9.531
_cell_angle_alpha 90.00
_cell_angle_beta 90.00
_cell_angle_gamma 90.00
loop_
_atom_site_label
_atom_site_type_symbol
_atom_site_fract_x
_atom_site_fract_y
_atom_site_fract_z
Mg1 Mg 0.000 0.000 0.000
Mn1 Mn 0.000 0.500 0.201
Nb1 Nb 0.000 0.000 0.429
O1 O 0.000 0.000 0.212
O2 O 0.000 0.000 0.633
O3 O 0.000 0.500 0.428
O4 O 0.000 0.500 0.950
```

Peak list (6 most intense, 5° ≤ 2θ ≤ 70°, in order of rising 2θ)
22.4 deg, I = 66, (0 1 1); 23.5 deg, I = 100, (1 0 1); 35.3 deg, I = 63, (1 1 2); 37.8 deg, I = 42, (0 0 4); 41.3 deg, I = 49, (0 2 0); 43.8 deg, I = 41, (2 0 0)

3.
# MgMnNbO4
Calculated PXRD pattern, Cu Kα (weighted mean of Kα1 and Kα2). Input: a crystal structure in the Materials Project, relaxed with GGA+U.

Structure:
```
data_MgMnNbO4
_chemical_formula_sum 'Mg2 Mn2 Nb2 O8'
_symmetry_space_group_name_H-M 'C 1 m 1'
_symmetry_Int_Tables_number 8
_symmetry_space_group_name_Hall 'C -2y'
_cell_length_a 10.771
_cell_length_b 4.247
_cell_length_c 3.954
_cell_angle_alpha 90.00
_cell_angle_beta 111.31
_cell_angle_gamma 90.00
loop_
_atom_site_label
_atom_site_type_symbol
_atom_site_fract_x
_atom_site_fract_y
_atom_site_fract_z
Mg1 Mg 0.000 0.000 0.000
Mn1 Mn 0.422 0.000 0.425
Nb1 Nb 0.226 0.500 0.230
O1 O 0.018 0.500 0.019
O2 O 0.208 0.000 0.213
O3 O 0.260 0.500 0.762
O4 O 0.447 0.500 0.447
```

Peak list (6 most intense, 5° ≤ 2θ ≤ 70°, in order of rising 2θ)
22.7 deg, I = 49, (1 1 0); 24.2 deg, I = 100, (2 0 -1); 34.1 deg, I = 43, (3 1 0); 35.8 deg, I = 84, (4 0 0); 42.6 deg, I = 37, (0 2 0); 45.9 deg, I = 29, (2 0 -2)

4.
# MgTa4Mn4Nb4O24
Calculated PXRD pattern, Cu Kα (weighted mean of Kα1 and Kα2). Input: a crystal structure in the Materials Project, relaxed with GGA+U.

Structure:
```
data_MgTa4Mn4Nb4O24
_chemical_formula_sum 'Mg1 Ta4 Mn4 Nb4 O24'
_symmetry_space_group_name_H-M 'P 1 2 1'
_symmetry_Int_Tables_number 3
_symmetry_space_group_name_Hall 'P 2y'
_cell_length_a 5.181
_cell_length_b 5.960
_cell_length_c 14.753
_cell_angle_alpha 90.00
_cell_angle_beta 90.20
_cell_angle_gamma 90.00
loop_
_atom_site_label
_atom_site_type_symbol
_atom_site_fract_x
_atom_site_fract_y
_atom_site_fract_z
Mg1 Mg 0.000 0.000 0.000
Ta1 Ta 0.011 0.087 0.184
Ta2 Ta 0.489 0.267 0.656
Mn1 Mn 0.000 0.096 0.500
Mn2 Mn 0.000 0.532 0.000
Mn3 Mn 0.500 0.244 0.000
Mn4 Mn 0.500 0.761 0.500
Nb1 Nb 0.026 0.604 0.340
Nb2 Nb 0.483 0.737 0.841
O1 O 0.144 0.254 0.081
O2 O 0.152 0.808 0.760
O3 O 0.153 0.808 0.421
O4 O 0.166 0.301 0.744
O5 O 0.184 0.317 0.402
O6 O 0.192 0.809 0.094
O7 O 0.292 0.014 0.904
O8 O 0.325 0.528 0.600
O9 O 0.338 0.557 0.251
O10 O 0.341 0.059 0.246
O11 O 0.344 0.530 0.920
O12 O 0.349 0.050 0.582
```

Peak list (6 most intense, 5° ≤ 2θ ≤ 70°, in order of rising 2θ)
23.5 deg, I = 41, (0 1 3); 29.2 deg, I = 100, (1 1 -3); 34.6 deg, I = 17, (2 0 0); 34.7 deg, I = 24, (1 2 0); 49.5 deg, I = 16, (0 3 3); 51.3 deg, I = 33, (2 0 6)

5.
# MgTa4Mn4Nb4O24
Calculated PXRD pattern, Cu Kα (weighted mean of Kα1 and Kα2). Input: a crystal structure in the Materials Project, relaxed with GGA+U.

Structure:
```
data_MgTa4Mn4Nb4O24
_chemical_formula_sum 'Mg1 Ta4 Mn4 Nb4 O24'
_symmetry_space_group_name_H-M 'P 1'
_symmetry_Int_Tables_number 1
_symmetry_space_group_name_Hall 'P 1'
_cell_length_a 5.245
_cell_length_b 6.065
_cell_length_c 14.747
_cell_angle_alpha 89.66
_cell_angle_beta 85.20
_cell_angle_gamma 89.35
loop_
_atom_site_label
_atom_site_type_symbol
_atom_site_fract_x
_atom_site_fract_y
_atom_site_fract_z
Mg1 Mg 0.000 0.000 0.000
Ta1 Ta 0.109 0.681 0.609
Ta2 Ta 0.207 0.690 0.296
Ta3 Ta 0.581 0.520 0.780
Ta4 Ta 0.726 0.527 0.123
Mn1 Mn 0.149 0.509 0.952
Mn2 Mn 0.158 0.186 0.453
Mn3 Mn 0.535 0.006 0.906
Mn4 Mn 0.656 0.519 0.453
Nb1 Nb 0.064 0.190 0.772
Nb2 Nb 0.257 0.211 0.139
Nb3 Nb 0.602 0.020 0.609
Nb4 Nb 0.714 0.024 0.299
O1 O 0.040 0.995 0.212
O2 O 0.058 0.496 0.203
O3 O 0.259 0.483 0.703
O4 O 0.270 0.983 0.696
O5 O 0.327 0.479 0.372
O6 O 0.357 0.024 0.037
O7 O 0.357 0.952 0.355
O8 O 0.360 0.274 0.852
O9 O 0.409 0.711 0.865
O10 O 0.433 0.469 0.059
O11 O 0.445 0.744 0.549
O12 O 0.483 0.228 0.532
O13 O 0.547 0.728 0.213
O14 O 0.579 0.242 0.203
O15 O 0.739 0.226 0.706
O16 O 0.766 0.719 0.694
O17 O 0.827 0.229 0.377
O18 O 0.869 0.747 0.358
O19 O 0.872 0.457 0.846
O20 O 0.886 0.717 0.036
O21 O 0.922 0.014 0.873
O22 O 0.945 0.285 0.056
O23 O 0.958 0.948 0.552
O24 O 0.988 0.475 0.534
```

Peak list (6 most intense, 5° ≤ 2θ ≤ 70°, in order of rising 2θ)
12.0 deg, I = 35, (0 0 2); 23.3 deg, I = 36, (0 1 3); 27.9 deg, I = 37, (1 1 3); 28.2 deg, I = 47, (1 -1 3); 29.9 deg, I = 100, (1 1 -3); 34.3 deg, I = 62, (2 0 1)

6.
# MgTa4Mn4Nb4O24
Calculated PXRD pattern, Cu Kα (weighted mean of Kα1 and Kα2). Input: a crystal structure in the Materials Project, relaxed with GGA+U.

Structure:
```
data_MgTa4Mn4Nb4O24
_chemical_formula_sum 'Mg1 Ta4 Mn4 Nb4 O24'
_symmetry_space_group_name_H-M 'P 1'
_symmetry_Int_Tables_number 1
_symmetry_space_group_name_Hall 'P 1'
_cell_length_a 5.158
_cell_length_b 5.995
_cell_length_c 14.860
_cell_angle_alpha 91.71
_cell_angle_beta 91.79
_cell_angle_gamma 90.19
loop_
_atom_site_label
_atom_site_type_symbol
_atom_site_fract_x
_atom_site_fract_y
_atom_site_fract_z
Mg1 Mg 0.000 0.000 0.000
Ta1 Ta 0.071 0.472 0.987
Ta2 Ta 0.494 0.206 0.495
Ta3 Ta 0.556 0.239 0.821
Ta4 Ta 0.980 0.349 0.327
Mn1 Mn 0.022 0.368 0.656
Mn2 Mn 0.495 0.196 0.158
Mn3 Mn 0.525 0.710 0.656
Mn4 Mn 0.952 0.836 0.178
Nb1 Nb 0.056 0.891 0.804
Nb2 Nb 0.468 0.705 0.323
Nb3 Nb 0.519 0.720 0.990
Nb4 Nb 0.991 0.856 0.498
O1 O 0.151 0.659 0.404
O2 O 0.164 0.162 0.415
O3 O 0.183 0.671 0.730
O4 O 0.185 0.745 0.065
O5 O 0.190 0.252 0.064
O6 O 0.223 0.153 0.750
O7 O 0.291 0.425 0.262
O8 O 0.322 0.937 0.557
O9 O 0.334 0.905 0.244
O10 O 0.354 0.954 0.900
O11 O 0.362 0.447 0.896
O12 O 0.363 0.414 0.575
O13 O 0.655 0.898 0.416
O14 O 0.664 0.390 0.407
O15 O 0.687 0.430 0.738
O16 O 0.690 0.961 0.076
O17 O 0.713 0.958 0.754
O18 O 0.719 0.500 0.051
O19 O 0.787 0.611 0.265
O20 O 0.822 0.134 0.558
O21 O 0.836 0.143 0.246
O22 O 0.860 0.657 0.576
O23 O 0.868 0.215 0.903
O24 O 0.889 0.734 0.910
```

Peak list (6 most intense, 5° ≤ 2θ ≤ 70°, in order of rising 2θ)
11.9 deg, I = 65, (0 0 2); 23.0 deg, I = 65, (0 1 -3); 28.5 deg, I = 76, (1 1 -3); 29.0 deg, I = 95, (-1 1 3); 29.1 deg, I = 96, (1 -1 3); 29.8 deg, I = 100, (1 1 3)

7.
# MgTa4Mn4Nb4O24
Calculated PXRD pattern, Cu Kα (weighted mean of Kα1 and Kα2). Input: a crystal structure in the Materials Project, relaxed with GGA+U.

Structure:
```
data_MgTa4Mn4Nb4O24
_chemical_formula_sum 'Mg1 Ta4 Mn4 Nb4 O24'
_symmetry_space_group_name_H-M 'P 1 2 1'
_symmetry_Int_Tables_number 3
_symmetry_space_group_name_Hall 'P 2y'
_cell_length_a 5.183
_cell_length_b 5.947
_cell_length_c 14.665
_cell_angle_alpha 90.00
_cell_angle_beta 90.03
_cell_angle_gamma 90.00
loop_
_atom_site_label
_atom_site_type_symbol
_atom_site_fract_x
_atom_site_fract_y
_atom_site_fract_z
Mg1 Mg 0.000 0.000 0.000
Ta1 Ta 0.016 0.612 0.659
Ta2 Ta 0.490 0.751 0.158
Mn1 Mn 0.000 0.111 0.500
Mn2 Mn 0.000 0.533 0.000
Mn3 Mn 0.500 0.255 0.000
Mn4 Mn 0.500 0.771 0.500
Nb1 Nb 0.014 0.097 0.814
Nb2 Nb 0.488 0.267 0.340
O1 O 0.148 0.254 0.920
O2 O 0.153 0.827 0.583
O3 O 0.154 0.320 0.259
O4 O 0.154 0.806 0.243
O5 O 0.180 0.348 0.598
O6 O 0.194 0.803 0.908
O7 O 0.296 0.012 0.096
O8 O 0.310 0.551 0.401
O9 O 0.338 0.568 0.745
O10 O 0.345 0.534 0.083
O11 O 0.346 0.066 0.420
O12 O 0.364 0.051 0.759
```

Peak list (6 most intense, 5° ≤ 2θ ≤ 70°, in order of rising 2θ)
23.6 deg, I = 45, (0 1 3); 29.3 deg, I = 100, (1 1 3); 34.6 deg, I = 17, (2 0 0); 34.8 deg, I = 21, (1 2 0); 51.4 deg, I = 16, (2 0 6); 51.5 deg, I = 23, (1 2 6)

8.
# MgTa4Mn4Nb4O24
Calculated PXRD pattern, Cu Kα (weighted mean of Kα1 and Kα2). Input: a crystal structure in the Materials Project, relaxed with GGA+U.

Structure:
```
data_MgTa4Mn4Nb4O24
_chemical_formula_sum 'Mg1 Ta4 Mn4 Nb4 O24'
_symmetry_space_group_name_H-M 'P 1'
_symmetry_Int_Tables_number 1
_symmetry_space_group_name_Hall 'P 1'
_cell_length_a 5.239
_cell_length_b 6.072
_cell_length_c 14.730
_cell_angle_alpha 89.55
_cell_angle_beta 84.90
_cell_angle_gamma 89.14
loop_
_atom_site_label
_atom_site_type_symbol
_atom_site_fract_x
_atom_site_fract_y
_atom_site_fract_z
Mg1 Mg 0.000 0.000 0.000
Ta1 Ta 0.292 0.973 0.697
Ta2 Ta 0.396 0.981 0.391
Ta3 Ta 0.754 0.781 0.860
Ta4 Ta 0.935 0.803 0.224
Mn1 Mn 0.344 0.474 0.545
Mn2 Mn 0.466 0.001 0.090
Mn3 Mn 0.843 0.805 0.544
Mn4 Mn 0.860 0.491 0.046
Nb1 Nb 0.282 0.461 0.871
Nb2 Nb 0.425 0.473 0.220
Nb3 Nb 0.785 0.306 0.705
Nb4 Nb 0.900 0.315 0.386
O1 O 0.016 0.512 0.465
O2 O 0.052 0.716 0.941
O3 O 0.054 0.029 0.448
O4 O 0.081 0.989 0.127
O5 O 0.127 0.282 0.966
O6 O 0.133 0.547 0.153
O7 O 0.138 0.232 0.641
O8 O 0.174 0.760 0.623
O9 O 0.251 0.779 0.292
O10 O 0.253 0.256 0.302
O11 O 0.432 0.237 0.786
O12 O 0.440 0.765 0.795
O13 O 0.516 0.762 0.464
O14 O 0.547 0.235 0.448
O15 O 0.576 0.532 0.936
O16 O 0.601 0.293 0.130
O17 O 0.633 0.026 0.640
O18 O 0.649 0.977 0.958
O19 O 0.654 0.735 0.144
O20 O 0.668 0.506 0.625
O21 O 0.735 0.010 0.302
O22 O 0.751 0.528 0.292
O23 O 0.952 0.510 0.796
O24 O 0.953 0.994 0.784
```

Peak list (6 most intense, 5° ≤ 2θ ≤ 70°, in order of rising 2θ)
12.1 deg, I = 70, (0 0 2); 23.3 deg, I = 68, (0 1 3); 28.2 deg, I = 78, (1 -1 3); 29.9 deg, I = 92, (1 1 -3); 30.1 deg, I = 87, (-1 1 3); 34.4 deg, I = 100, (2 0 1)